No. 1
Diffraction record for BaPa6Se12. The powder diffractogram is theoretical, not measured: it uses a cell relaxed with GGA-PBE and copper Kα.

Cell and atoms:
```
data_BaPa6Se12
_space_group_name_H-M_alt 'R -3 m'
_space_group_IT_number 166
_space_group_name_Hall '-R 3 2"'
_cell_length_a 13.7733
_cell_length_b 13.7733
_cell_length_c 9.4678
_cell_angle_alpha 90.00
_cell_angle_beta 90.00
_cell_angle_gamma 120.00
loop_
_atom_site_label
_atom_site_type_symbol
_atom_site_fract_x
_atom_site_fract_y
_atom_site_fract_z
Ba1 Ba 0.0000 0.0000 0.0000
Pa1 Pa 0.0563 0.5281 0.2585
Se1 Se 0.0000 0.3759 0.5000
Se2 Se 0.0859 0.1717 0.3228
```

Principal peaks in the range 5 to 70 degrees two-theta, sorted by position:
2θ = 11.93°, I = 33, (1 0 1)
2θ = 21.83°, I = 95, (2 1 1)
2θ = 24.00°, I = 63, (2 0 2)
2θ = 25.88°, I = 40, (2 2 0)
2θ = 27.32°, I = 38, (1 2 2)
2θ = 34.11°, I = 100, (3 2 1)
2θ = 35.58°, I = 32, (0 4 2)
2θ = 36.34°, I = 73, (0 3 3)
2θ = 38.93°, I = 43, (0 5 1)
2θ = 41.03°, I = 61, (0 2 4)
2θ = 42.43°, I = 58, (5 0 2)
2θ = 56.30°, I = 48, (5 2 3)


No. 2
Diffraction record for Ba2TmPaSe6. The powder diffractogram is theoretical, not measured: it uses a cell relaxed with GGA-PBE and copper Kα.

Cell and atoms:
```
data_Ba2TmPaSe6
_space_group_name_H-M_alt 'P 1 21/c 1'
_space_group_IT_number 14
_cell_length_a 7.4562
_cell_length_b 7.8340
_cell_length_c 13.0997
_cell_angle_alpha 90.00
_cell_angle_beta 124.51
_cell_angle_gamma 90.00
loop_
_space_group_symop_operation_xyz
'x,y,z'
'-x,-y,-z'
'-x,y+1/2,-z+1/2'
'x,-y+1/2,z+1/2'
loop_
_atom_site_label
_atom_site_type_symbol
_atom_site_fract_x
_atom_site_fract_y
_atom_site_fract_z
Ba1 Ba 0.2276 0.0717 0.2489
Tm1 Tm 0.0000 0.0000 0.5000
Pa1 Pa 0.5000 0.0000 0.0000
Se1 Se 0.1547 0.1986 0.9552
Se2 Se 0.2593 0.7029 0.9545
Se3 Se 0.3381 0.0162 0.7515
```

Principal peaks in the range 5 to 70 degrees two-theta, sorted by position:
2θ = 16.42°, I = 47, (1 1 -1)
2θ = 22.70°, I = 23, (0 2 0)
2θ = 23.30°, I = 92, (1 1 -3)
2θ = 23.87°, I = 22, (2 0 -2)
2θ = 33.18°, I = 100, (0 0 4)
2θ = 36.46°, I = 21, (1 3 -1)
2θ = 37.24°, I = 25, (2 2 0)
2θ = 40.60°, I = 18, (0 2 4)
2θ = 41.63°, I = 45, (3 1 -1)
2θ = 47.58°, I = 16, (2 2 2)
2θ = 47.70°, I = 16, (2 2 -6)
2θ = 50.13°, I = 17, (1 3 3)


No. 3
Diffraction record for Ba2PaZnSe5. The powder diffractogram is theoretical, not measured: it uses a cell relaxed with GGA-PBE and copper Kα.

Cell and atoms:
```
data_Ba2PaZnSe5
_space_group_name_H-M_alt 'C m c 21'
_space_group_IT_number 36
_cell_length_a 4.2954
_cell_length_b 18.9386
_cell_length_c 13.4102
_cell_angle_alpha 90.00
_cell_angle_beta 90.00
_cell_angle_gamma 90.00
loop_
_space_group_symop_operation_xyz
'x,y,z'
'-x,-y,z+1/2'
'-x,y,z'
'x,-y,z+1/2'
'x+1/2,y+1/2,z'
'-x+1/2,-y+1/2,z+1/2'
'-x+1/2,y+1/2,z'
'x+1/2,-y+1/2,z+1/2'
loop_
_atom_site_label
_atom_site_type_symbol
_atom_site_fract_x
_atom_site_fract_y
_atom_site_fract_z
Ba1 Ba 0.0000 0.1146 0.0000
Ba2 Ba 0.0000 0.1224 0.6335
Pa1 Pa 0.0000 0.2010 0.3291
Zn1 Zn 0.0000 0.4413 0.7452
Se1 Se 0.0000 0.0503 0.3463
Se2 Se 0.0000 0.2946 0.9721
Se3 Se 0.0000 0.3083 0.6823
Se4 Se 0.0000 0.3485 0.3188
Se5 Se 0.0000 0.5002 0.0857
```

Principal peaks in the range 5 to 70 degrees two-theta, sorted by position:
2θ = 16.20°, I = 19, (0 2 2)
2θ = 21.99°, I = 19, (0 2 3)
2θ = 25.07°, I = 14, (1 3 0)
2θ = 29.06°, I = 46, (0 6 1)
2θ = 29.22°, I = 100, (1 1 3)
2θ = 34.28°, I = 46, (1 5 2)
2θ = 40.39°, I = 20, (0 0 6)
2θ = 41.68°, I = 20, (1 7 2)
2θ = 42.07°, I = 23, (2 0 0)
2θ = 48.13°, I = 21, (1 7 4)
2θ = 51.95°, I = 18, (2 6 1)
2θ = 52.54°, I = 14, (1 7 5)